# LiTbMoO4
Calculated X-ray diffraction stick pattern, copper Kα. Input: a structure optimized by DFT (GGA+U).
Kinematic intensities with the Lorentz-polarization factor, no thermal factor.

Crystal structure
a b c (Å): 6.324 6.879 9.164
angles (deg): 90.00 90.00 90.00
Space group Imma (No. 74)
Unique sites:
Li 0.000 0.250 0.094 [4 per cell]
Tb 0.000 0.000 0.500 [4 per cell]
Mo 0.250 0.250 0.750 [4 per cell]
O 0.000 0.043 0.747 [8 per cell]
O 0.237 0.250 0.525 [8 per cell]

Main lines, low angle first (2θ = 10–90°):
d 5.501, 2θ 16.11, rel. 59, (0 1 1)
d 5.205, 2θ 17.03, rel. 100, (1 0 1)
d 2.870, 2θ 31.17, rel. 48, (1 2 1)
d 2.751, 2θ 32.55, rel. 52, (0 2 2)
d 2.741, 2θ 32.66, rel. 16, (2 1 1)
d 2.603, 2θ 34.46, rel. 27, (2 0 2)
d 2.328, 2θ 38.68, rel. 51, (2 2 0)
d 2.291, 2θ 39.33, rel. 24, (0 0 4)
d 2.148, 2θ 42.06, rel. 19, (1 2 3)
d 1.633, 2θ 56.34, rel. 41, (2 2 4)